The following is a computed PXRD pattern of Pr3Ni7P5. It was derived from DFT lattice parameters and positions (GGA-PBE), using Cu Kα, 1.54184 Å.
Peak positions follow from Bragg's law for the DFT cell and can differ from measured ones.

Unit cell a=16.582 b=3.947 c=16.625 alpha=90.00 beta=119.84 gamma=90.00
Positions (direct):
Pr (0.000, 0.000, 0.000)
Pr (0.029, 0.500, 0.323)
Pr (0.088, 0.500, 0.589)
Pr (0.206, 0.000, 0.940)
Pr (0.263, 0.000, 0.206)
Pr (0.294, 0.500, 0.531)
Pr (0.413, 0.000, 0.884)
Pr (0.472, 0.000, 0.149)
Pr (0.526, 0.000, 0.410)
Pr (0.765, 0.500, 0.117)
Pr (0.821, 0.500, 0.381)
Pr (0.883, 0.500, 0.645)
Ni (0.082, 0.000, 0.213)
Ni (0.094, 0.500, 0.778)
Ni (0.138, 0.000, 0.482)
Ni (0.156, 0.500, 0.048)
Ni (0.200, 0.000, 0.751)
Ni (0.211, 0.500, 0.317)
Ni (0.305, 0.500, 0.722)
Ni (0.342, 0.000, 0.417)
Ni (0.364, 0.500, 0.991)
Ni (0.397, 0.000, 0.690)
Ni (0.421, 0.500, 0.257)
Ni (0.474, 0.500, 0.525)
Ni (0.551, 0.000, 0.825)
Ni (0.579, 0.500, 0.937)
Ni (0.589, 0.000, 0.616)
Ni (0.603, 0.000, 0.069)
Ni (0.634, 0.500, 0.200)
Ni (0.660, 0.000, 0.331)
Ni (0.688, 0.500, 0.464)
Ni (0.722, 0.000, 0.590)
Ni (0.735, 0.500, 0.708)
Ni (0.795, 0.000, 0.855)
Ni (0.821, 0.000, 0.013)
Ni (0.872, 0.000, 0.273)
Ni (0.895, 0.500, 0.839)
Ni (0.931, 0.000, 0.539)
Ni (0.945, 0.500, 0.107)
Ni (0.990, 0.000, 0.807)
P (0.039, 0.000, 0.695)
P (0.051, 0.500, 0.893)
P (0.108, 0.500, 0.156)
P (0.184, 0.000, 0.374)
P (0.242, 0.000, 0.637)
P (0.256, 0.500, 0.835)
P (0.314, 0.500, 0.098)
P (0.369, 0.500, 0.362)
P (0.443, 0.000, 0.578)
P (0.466, 0.500, 0.780)
P (0.520, 0.500, 0.042)
P (0.576, 0.500, 0.303)
P (0.626, 0.500, 0.564)
P (0.664, 0.000, 0.968)
P (0.717, 0.000, 0.226)
P (0.774, 0.000, 0.487)
P (0.829, 0.000, 0.745)
P (0.842, 0.500, 0.946)
P (0.924, 0.000, 0.169)
P (0.980, 0.000, 0.431)

Principal peaks in the range 2θ = 10–80°, in order of falling intensity:
hkl 1 1 4, 36.56°, I 100; hkl 0 2 0, 45.98°, I 24; hkl 5 1 -2, 35.45°, I 21; hkl 4 1 0, 33.71°, I 12; hkl 1 3 4, 78.88°, I 11; hkl 9 1 -2, 57.43°, I 11; hkl 3 0 -9, 50.27°, I 9; hkl 2 0 -7, 39.04°, I 9; hkl 2 0 -8, 45.39°, I 9; hkl 1 0 3, 22.27°, I 9